This entry pairs a crystal structure of Sr4In13Au9 with its computed powder X-ray diffraction pattern. Radiation: Cu Kα (weighted mean of Kα1 and Kα2). Structure: DFT lattice parameters and positions (PBE).
Kinematic intensities with the Lorentz-polarization factor, no thermal factor.

Main lines, by angle (2θ = 10–90°):
| 2θ (°) | I/Imax |
| --- | --- |
| 23.81 | 34 |
| 28.94 | 58 |
| 31.10 | 100 |
| 34.88 | 41 |
| 35.07 | 53 |
| 40.06 | 54 |
| 40.39 | 97 |
| 41.87 | 60 |
| 45.18 | 36 |
| 59.33 | 43 |

Atomic structure:
```
data_Sr4In13Au9
_chemical_formula_sum 'Sr4 In13 Au9'
_symmetry_space_group_name_H-M 'P 1'
_symmetry_Int_Tables_number 1
_cell_length_a 12.945
_cell_length_b 12.945
_cell_length_c 4.502
_cell_angle_alpha 90.00
_cell_angle_beta 90.00
_cell_angle_gamma 120.00
loop_
_symmetry_equiv_pos_as_xyz
'x,y,z'
loop_
_atom_site_label
_atom_site_fract_x
_atom_site_fract_y
_atom_site_fract_z
Sr1 0.000 0.000 0.000
Sr2 0.539 0.079 0.500
Sr3 0.539 0.461 0.500
Sr4 0.921 0.461 0.500
In1 0.040 0.324 0.000
In2 0.040 0.715 0.000
In3 0.250 0.500 0.500
In4 0.250 0.750 0.500
In5 0.268 0.134 0.500
In6 0.285 0.324 0.000
In7 0.285 0.960 0.000
In8 0.500 0.750 0.500
In9 0.667 0.333 0.000
In10 0.676 0.715 0.000
In11 0.676 0.960 0.000
In12 0.866 0.134 0.500
In13 0.866 0.732 0.500
Au1 0.119 0.238 0.500
Au2 0.119 0.881 0.500
Au3 0.158 0.579 0.000
Au4 0.421 0.579 0.000
Au5 0.421 0.842 0.000
Au6 0.426 0.213 0.000
Au7 0.762 0.881 0.500
Au8 0.787 0.213 0.000
Au9 0.787 0.574 0.000
```



This entry pairs a crystal structure of Ba4Sn3O10 with its computed powder X-ray diffraction pattern. Radiation: Cu Kα (weighted mean of Kα1 and Kα2). Structure: DFT lattice parameters and positions (PBE).
Kinematic intensities with the Lorentz-polarization factor, no thermal factor.

Main lines, by angle (2θ = 10–90°):
| 2θ (°) | I/Imax |
| --- | --- |
| 29.64 | 100 |
| 30.07 | 58 |
| 41.79 | 13 |
| 43.04 | 32 |
| 52.31 | 9 |
| 52.37 | 9 |
| 53.07 | 21 |
| 53.19 | 21 |
| 61.55 | 16 |
| 70.68 | 9 |

Atomic structure:
```
data_Ba4Sn3O10
_chemical_formula_sum 'Ba8 Sn6 O20'
_symmetry_space_group_name_H-M 'P 1'
_symmetry_Int_Tables_number 1
_cell_length_a 15.420
_cell_length_b 15.420
_cell_length_c 5.936
_cell_angle_alpha 90.00
_cell_angle_beta 90.00
_cell_angle_gamma 22.26
loop_
_symmetry_equiv_pos_as_xyz
'x,y,z'
loop_
_atom_site_label
_atom_site_fract_x
_atom_site_fract_y
_atom_site_fract_z
Ba1 0.069 0.069 0.000
Ba2 0.203 0.203 0.000
Ba3 0.297 0.297 0.500
Ba4 0.431 0.431 0.500
Ba5 0.569 0.569 0.500
Ba6 0.703 0.703 0.500
Ba7 0.797 0.797 0.000
Ba8 0.931 0.931 0.000
Sn1 0.000 0.000 0.500
Sn2 0.139 0.139 0.500
Sn3 0.361 0.361 0.000
Sn4 0.500 0.500 0.000
Sn5 0.639 0.639 0.000
Sn6 0.861 0.861 0.500
O1 0.069 0.069 0.500
O2 0.098 0.625 0.237
O3 0.125 0.598 0.737
O4 0.208 0.208 0.500
O5 0.222 0.778 0.778
O6 0.278 0.722 0.278
O7 0.292 0.292 0.000
O8 0.375 0.902 0.237
O9 0.402 0.875 0.737
O10 0.431 0.431 0.000
O11 0.569 0.569 0.000
O12 0.598 0.125 0.263
O13 0.625 0.098 0.763
O14 0.708 0.708 0.000
O15 0.722 0.278 0.722
O16 0.778 0.222 0.222
O17 0.792 0.792 0.500
O18 0.875 0.402 0.263
O19 0.902 0.375 0.763
O20 0.931 0.931 0.500
```



This entry pairs a crystal structure of TiInPd2 with its computed powder X-ray diffraction pattern. Radiation: Cu Kα (weighted mean of Kα1 and Kα2). Structure: DFT lattice parameters and positions (PBE).
Kinematic intensities with the Lorentz-polarization factor, no thermal factor.

Main lines, by angle (2θ = 10–90°):
| 2θ (°) | I/Imax |
| --- | --- |
| 23.84 | 8 |
| 27.59 | 2 |
| 39.42 | 100 |
| 46.59 | 4 |
| 56.97 | 16 |
| 62.62 | 2 |
| 71.48 | 33 |
| 76.56 | 1 |
| 84.82 | 10 |
| 89.72 | 1 |

Atomic structure:
```
data_TiInPd2
_chemical_formula_sum 'Ti1 In1 Pd2'
_symmetry_space_group_name_H-M 'P 1'
_symmetry_Int_Tables_number 1
_cell_length_a 4.572
_cell_length_b 4.572
_cell_length_c 4.572
_cell_angle_alpha 60.00
_cell_angle_beta 60.00
_cell_angle_gamma 60.00
loop_
_symmetry_equiv_pos_as_xyz
'x,y,z'
loop_
_atom_site_label
_atom_site_fract_x
_atom_site_fract_y
_atom_site_fract_z
Ti1 0.000 0.000 0.000
In1 0.500 0.500 0.500
Pd1 0.250 0.250 0.250
Pd2 0.750 0.750 0.750
```



This entry pairs a crystal structure of UTcC2 with its computed powder X-ray diffraction pattern. Radiation: Cu Kα (weighted mean of Kα1 and Kα2). Structure: DFT lattice parameters and positions (PBE).
Kinematic intensities with the Lorentz-polarization factor, no thermal factor.

Main lines, by angle (2θ = 10–90°):
| 2θ (°) | I/Imax |
| --- | --- |
| 29.13 | 36 |
| 32.56 | 31 |
| 33.03 | 31 |
| 33.35 | 16 |
| 36.31 | 100 |
| 40.55 | 15 |
| 40.82 | 15 |
| 57.86 | 28 |
| 60.56 | 14 |
| 63.05 | 14 |

Atomic structure:
```
data_UTcC2
_chemical_formula_sum 'U4 Tc4 C8'
_symmetry_space_group_name_H-M 'P 1'
_symmetry_Int_Tables_number 1
_cell_length_a 5.597
_cell_length_b 3.189
_cell_length_c 11.001
_cell_angle_alpha 90.00
_cell_angle_beta 90.00
_cell_angle_gamma 90.00
loop_
_symmetry_equiv_pos_as_xyz
'x,y,z'
loop_
_atom_site_label
_atom_site_fract_x
_atom_site_fract_y
_atom_site_fract_z
U1 0.083 0.250 0.142
U2 0.417 0.750 0.642
U3 0.583 0.250 0.358
U4 0.917 0.750 0.858
Tc1 0.082 0.750 0.398
Tc2 0.418 0.250 0.898
Tc3 0.582 0.750 0.102
Tc4 0.918 0.250 0.602
C1 0.158 0.250 0.756
C2 0.243 0.250 0.493
C3 0.257 0.750 0.993
C4 0.342 0.750 0.256
C5 0.658 0.250 0.744
C6 0.743 0.250 0.007
C7 0.757 0.750 0.507
C8 0.842 0.750 0.244
```